Diffraction record for MoH4O5. The powder XRD pattern is theoretical, not measured: it uses a structure optimized by DFT (PBE+U) and CuKα.

Principal peaks in the range 2θ from 5° to 70°, sorted by position:
d 6.233, intensity 100, (0 1 0); d 4.293, intensity 46, (0 0 2); d 3.928, intensity 87, (1 1 0); d 3.536, intensity 57, (0 1 2); d 3.117, intensity 23, (0 2 0); d 2.899, intensity 44, (1 0 -2); d 2.146, intensity 16, (0 0 4); d 2.070, intensity 15, (2 1 0); d 1.884, intensity 16, (1 1 4); d 1.870, intensity 10, (0 3 2)

Structure:
```
20
Lattice="4.1407 0.0000 0.0000 2.0293 6.2331 0.0000 0.0008 0.0186 8.5861" Properties=species:S:1:pos:R:3 pbc="T T T"
Mo 0.0000 0.0000 0.0000
Mo 2.1681 6.0986 4.2926
H 2.1694 3.8480 7.3312
H 2.3685 3.1498 5.2880
H 2.0637 1.0382 7.7116
H 2.9370 3.5926 2.0484
H 3.3681 2.5184 6.3457
H 4.2458 5.0750 3.4221
H 3.9343 2.9614 0.9891
H 4.1368 2.2660 3.0318
O 2.0652 6.2289 1.7354
O 2.1326 6.1098 6.0280
O 2.0597 4.4162 8.1784
O 2.1394 4.3921 3.8078
O 2.4397 2.8006 6.2079
O 2.0884 0.1699 8.1754
O 4.2204 5.9455 3.8819
O 3.8650 3.3106 1.9089
O 4.1680 1.7230 8.0954
O 4.2484 1.6995 3.8800
```